No. 1
Diffraction record for NpMnTcOs. The XRD peak list is theoretical, not measured: it uses a cell relaxed with GGA-PBE and Cu Kα, 1.54184 Å.
No peak broadening, texture or thermal motion is included.

Top 8 peaks for 15° ≤ 2θ ≤ 90°, in order of rising 2θ:
2theta  I_rel
24.0  27
39.6  100
46.8  15
57.3  17
63.0  7
71.9  35
77.0  5
85.4  11

Structure:
```
NpMnTcOs
1.0
0.000 3.216 3.216
3.216 0.000 3.216
3.216 3.216 0.000
Np Mn Tc Os
1 1 1 1
Direct
0.000 0.000 0.000 Np
0.500 0.500 0.500 Mn
0.250 0.250 0.250 Tc
0.750 0.750 0.750 Os
```

No. 2
Diffraction record for NpMnP3. The XRD peak list is theoretical, not measured: it uses a cell relaxed with GGA-PBE and Cu Kα, 1.54184 Å.
No peak broadening, texture or thermal motion is included.

Top 8 peaks for 15° ≤ 2θ ≤ 90°, in order of rising 2θ:
2theta  I_rel
15.4  25
23.2  21
25.5  100
28.9  46
37.3  29
38.7  30
39.8  65
49.7  27

Structure:
```
NpMnP3
1.0
11.495 0.000 0.000
0.000 5.082 0.000
0.000 0.000 5.309
Np Mn P
4 4 12
Direct
0.192 0.002 0.250 Np
0.192 0.498 0.750 Np
0.808 0.502 0.250 Np
0.808 0.998 0.750 Np
0.422 0.750 0.000 Mn
0.422 0.750 0.500 Mn
0.578 0.250 0.000 Mn
0.578 0.250 0.500 Mn
0.001 0.750 0.000 P
0.001 0.750 0.500 P
0.296 0.004 0.750 P
0.296 0.496 0.250 P
0.430 0.117 0.250 P
0.430 0.383 0.750 P
0.570 0.617 0.250 P
0.570 0.883 0.750 P
0.704 0.504 0.750 P
0.704 0.996 0.250 P
0.999 0.250 0.000 P
0.999 0.250 0.500 P
```

No. 3
Diffraction record for NpMnTc2P2. The XRD peak list is theoretical, not measured: it uses a cell relaxed with GGA-PBE and Cu Kα, 1.54184 Å.
No peak broadening, texture or thermal motion is included.

Top 8 peaks for 15° ≤ 2θ ≤ 90°, in order of rising 2θ:
2theta  I_rel
25.2  56
35.8  100
37.9  58
38.7  61
40.4  61
44.5  29
45.8  40
60.9  29

Structure:
```
NpMnTc2P2
1.0
3.964 0.000 0.000
0.000 7.821 0.000
0.000 0.000 5.758
Np Mn Tc P
2 2 4 4
Direct
0.000 0.069 0.000 Np
0.000 0.931 0.500 Np
0.500 0.213 0.725 Mn
0.500 0.787 0.225 Mn
0.000 0.315 0.442 Tc
0.000 0.685 0.942 Tc
0.500 0.435 0.096 Tc
0.500 0.565 0.596 Tc
0.000 0.399 0.835 P
0.000 0.601 0.335 P
0.500 0.170 0.317 P
0.500 0.830 0.817 P
```

No. 4
Diffraction record for Np2PaMn9. The XRD peak list is theoretical, not measured: it uses a cell relaxed with GGA-PBE and Cu Kα, 1.54184 Å.
No peak broadening, texture or thermal motion is included.

Top 8 peaks for 15° ≤ 2θ ≤ 90°, in order of rising 2θ:
2theta  I_rel
19.7  36
23.0  26
30.5  39
32.8  39
38.5  100
42.7  56
46.6  61
69.4  32

Structure:
```
Np2PaMn9
1.0
8.641 0.000 0.000
0.000 8.641 0.000
0.000 0.000 4.513
Np Pa Mn
4 2 18
Direct
0.117 0.383 0.000 Np
0.383 0.883 0.000 Np
0.617 0.117 0.000 Np
0.883 0.617 0.000 Np
0.000 0.000 0.000 Pa
0.500 0.500 0.000 Pa
0.000 0.500 0.500 Mn
0.058 0.207 0.500 Mn
0.186 0.686 0.244 Mn
0.186 0.686 0.756 Mn
0.207 0.942 0.500 Mn
0.293 0.442 0.500 Mn
0.314 0.186 0.244 Mn
0.314 0.186 0.756 Mn
0.442 0.707 0.500 Mn
0.500 0.000 0.500 Mn
0.558 0.293 0.500 Mn
0.686 0.814 0.244 Mn
0.686 0.814 0.756 Mn
0.707 0.558 0.500 Mn
0.793 0.058 0.500 Mn
0.814 0.314 0.244 Mn
0.814 0.314 0.756 Mn
0.942 0.793 0.500 Mn
```

No. 5
Diffraction record for NpPaMnS6. The XRD peak list is theoretical, not measured: it uses a cell relaxed with GGA-PBE and Cu Kα, 1.54184 Å.
No peak broadening, texture or thermal motion is included.

Top 8 peaks for 15° ≤ 2θ ≤ 90°, in order of rising 2θ:
2theta  I_rel
16.1  15
21.9  100
28.0  29
35.8  29
41.3  46
46.1  29
48.4  13
49.5  18

Structure:
```
NpPaMnS6
1.0
6.375 0.000 0.000
-3.187 5.521 0.000
0.000 0.000 6.004
Np Pa Mn S
1 1 1 6
Direct
0.000 0.000 0.000 Np
0.667 0.333 0.500 Pa
0.333 0.667 0.000 Mn
0.015 0.349 0.244 S
0.015 0.666 0.756 S
0.334 0.349 0.756 S
0.334 0.985 0.244 S
0.651 0.666 0.244 S
0.651 0.985 0.756 S
```

No. 6
Diffraction record for Rb3Np3MnS8. The XRD peak list is theoretical, not measured: it uses a cell relaxed with GGA-PBE and Cu Kα, 1.54184 Å.
No peak broadening, texture or thermal motion is included.

Top 8 peaks for 15° ≤ 2θ ≤ 90°, in order of rising 2θ:
2theta  I_rel
22.8  29
26.1  18
26.9  48
30.1  100
37.5  18
40.5  37
45.5  33
51.5  21

Structure:
```
Rb3Np3MnS8
1.0
3.985 2.301 7.785
-3.985 2.301 7.785
0.000 -4.601 7.785
Rb Np Mn S
3 3 1 8
Direct
0.000 0.500 0.500 Rb
0.500 0.000 0.500 Rb
0.500 0.500 0.000 Rb
0.000 0.000 0.500 Np
0.000 0.500 0.000 Np
0.500 0.000 0.000 Np
0.500 0.500 0.500 Mn
0.230 0.230 0.230 S
0.235 0.722 0.722 S
0.278 0.278 0.765 S
0.278 0.765 0.278 S
0.722 0.235 0.722 S
0.722 0.722 0.235 S
0.765 0.278 0.278 S
0.770 0.770 0.770 S
```

No. 7
Diffraction record for Rb2NpMnS4. The XRD peak list is theoretical, not measured: it uses a cell relaxed with GGA-PBE and Cu Kα, 1.54184 Å.
No peak broadening, texture or thermal motion is included.

Top 8 peaks for 15° ≤ 2θ ≤ 90°, in order of rising 2θ:
2theta  I_rel
26.0  100
29.9  52
30.2  99
43.1  70
50.8  20
51.2  21
51.3  20
71.2  19

Structure:
```
Rb2NpMnS4
1.0
-4.171 4.186 5.971
4.171 -4.186 5.971
4.171 4.186 -5.971
Rb Np Mn S
4 2 2 8
Direct
0.000 0.000 0.000 Rb
0.500 0.000 0.000 Rb
0.500 0.000 0.500 Rb
0.500 0.500 0.500 Rb
0.000 0.500 0.500 Np
0.500 0.500 0.000 Np
0.000 0.000 0.500 Mn
0.000 0.500 0.000 Mn
0.177 0.728 0.449 S
0.221 0.272 0.949 S
0.234 0.275 0.541 S
0.234 0.693 0.959 S
0.766 0.307 0.041 S
0.766 0.725 0.459 S
0.779 0.728 0.051 S
0.823 0.272 0.551 S
```

No. 8
Diffraction record for NpMn5Rh6. The XRD peak list is theoretical, not measured: it uses a cell relaxed with GGA-PBE and Cu Kα, 1.54184 Å.
No peak broadening, texture or thermal motion is included.

Top 8 peaks for 15° ≤ 2θ ≤ 90°, in order of rising 2θ:
2theta  I_rel
26.0  8
40.4  100
43.3  41
53.6  11
63.0  13
71.3  17
77.5  28
87.2  10

Structure:
```
NpMn5Rh6
1.0
2.088 -6.263 0.000
2.088 6.263 0.000
0.000 0.000 6.841
Np Mn Rh
1 5 6
Direct
0.000 0.000 0.000 Np
0.000 0.000 0.500 Mn
0.325 0.675 0.000 Mn
0.336 0.664 0.500 Mn
0.664 0.336 0.500 Mn
0.675 0.325 0.000 Mn
0.168 0.832 0.258 Rh
0.168 0.832 0.742 Rh
0.500 0.500 0.252 Rh
0.500 0.500 0.748 Rh
0.832 0.168 0.258 Rh
0.832 0.168 0.742 Rh
```

No. 9
Diffraction record for NpMn2S4. The XRD peak list is theoretical, not measured: it uses a cell relaxed with GGA-PBE and Cu Kα, 1.54184 Å.
No peak broadening, texture or thermal motion is included.

Top 8 peaks for 15° ≤ 2θ ≤ 90°, in order of rising 2θ:
2theta  I_rel
15.4  53
21.2  84
26.3  100
27.1  57
35.6  60
40.5  70
41.0  63
43.2  34

Structure:
```
NpMn2S4
1.0
-4.186 4.186 3.961
4.186 -4.186 3.961
4.186 4.186 -3.961
Np Mn S
2 4 8
Direct
0.375 0.625 0.750 Np
0.625 0.375 0.250 Np
0.000 0.000 0.000 Mn
0.000 0.000 0.500 Mn
0.000 0.500 0.000 Mn
0.500 0.000 0.500 Mn
0.133 0.698 0.435 S
0.237 0.302 0.935 S
0.302 0.237 0.435 S
0.302 0.867 0.065 S
0.698 0.133 0.935 S
0.698 0.763 0.565 S
0.763 0.698 0.065 S
0.867 0.302 0.565 S
```

No. 10
Diffraction record for Np2MnS5. The XRD peak list is theoretical, not measured: it uses a cell relaxed with GGA-PBE and Cu Kα, 1.54184 Å.
No peak broadening, texture or thermal motion is included.

Top 8 peaks for 15° ≤ 2θ ≤ 90°, in order of rising 2θ:
2theta  I_rel
23.5  98
27.7  76
28.0  76
28.2  74
34.6  100
34.8  99
36.8  83
37.0  82

Structure:
```
Np2MnS5
1.0
7.506 0.000 0.000
0.000 7.578 0.000
-0.110 0.000 10.515
Np Mn S
8 4 20
Direct
0.077 0.000 0.176 Np
0.080 0.500 0.172 Np
0.419 0.500 0.675 Np
0.420 0.000 0.672 Np
0.580 0.000 0.328 Np
0.581 0.500 0.325 Np
0.920 0.500 0.828 Np
0.923 0.000 0.824 Np
0.000 0.248 0.500 Mn
0.000 0.752 0.500 Mn
0.500 0.248 0.000 Mn
0.500 0.752 0.000 Mn
0.000 0.248 0.000 S
0.000 0.752 0.000 S
0.141 0.250 0.702 S
0.141 0.750 0.702 S
0.177 0.500 0.433 S
0.185 0.000 0.435 S
0.314 0.000 0.933 S
0.314 0.500 0.934 S
0.357 0.250 0.202 S
0.357 0.750 0.202 S
0.500 0.254 0.500 S
0.500 0.746 0.500 S
0.643 0.250 0.798 S
0.643 0.750 0.798 S
0.686 0.000 0.067 S
0.686 0.500 0.066 S
0.815 0.000 0.565 S
0.823 0.500 0.567 S
0.859 0.250 0.298 S
0.859 0.750 0.298 S
```

No. 11
Diffraction record for Np3MnS6. The XRD peak list is theoretical, not measured: it uses a cell relaxed with GGA-PBE and Cu Kα, 1.54184 Å.
No peak broadening, texture or thermal motion is included.

Top 8 peaks for 15° ≤ 2θ ≤ 90°, in order of rising 2θ:
2theta  I_rel
17.4  39
25.6  100
26.1  90
27.4  28
38.2  43
39.1  38
43.1  38
49.8  33

Structure:
```
Np3MnS6
1.0
5.306 -6.527 0.000
5.306 6.527 0.000
0.000 0.000 6.504
Np Mn S
6 2 12
Direct
0.102 0.898 0.500 Np
0.219 0.419 0.590 Np
0.419 0.219 0.090 Np
0.581 0.781 0.590 Np
0.781 0.581 0.090 Np
0.898 0.102 0.000 Np
0.304 0.696 0.128 Mn
0.696 0.304 0.628 Mn
0.064 0.597 0.310 S
0.131 0.192 0.295 S
0.192 0.131 0.795 S
0.276 0.724 0.771 S
0.403 0.936 0.310 S
0.467 0.533 0.294 S
0.533 0.467 0.794 S
0.597 0.064 0.810 S
0.724 0.276 0.271 S
0.808 0.869 0.295 S
0.869 0.808 0.795 S
0.936 0.403 0.810 S
```

No. 12
Diffraction record for Np2MnTlS5. The XRD peak list is theoretical, not measured: it uses a cell relaxed with GGA-PBE and Cu Kα, 1.54184 Å.
No peak broadening, texture or thermal motion is included.

Top 8 peaks for 15° ≤ 2θ ≤ 90°, in order of rising 2θ:
2theta  I_rel
23.7  60
26.0  31
27.3  100
33.6  27
39.1  23
40.5  20
46.6  25
47.6  26

Structure:
```
Np2MnTlS5
1.0
-2.229 3.430 6.718
2.229 -3.430 6.718
2.229 3.430 -6.718
Np Mn Tl S
2 1 1 5
Direct
0.199 0.199 0.000 Np
0.801 0.801 0.000 Np
0.000 0.500 0.500 Mn
0.500 0.000 0.500 Tl
0.000 0.000 0.000 S
0.091 0.352 0.739 S
0.388 0.648 0.739 S
0.612 0.352 0.261 S
0.909 0.648 0.261 S
```